Structure and calculated X-ray diffraction stick pattern of Tl5Pb4 (a structure optimized by DFT (GGA-PBE); Cu Kα (λ = 1.5418 Å)).
No peak broadening, texture or thermal motion is included.

Cell and atoms:
Cell: 10.7252 10.7252 4.8765 Å, 90.00 90.00 90.00°
Space group I4/mmm (No. 139)
One atom of each set of equivalent atoms:
Tl (0.0000, 0.0000, 0.0000) x2
Tl (0.1667, 0.1667, 0.5000) x8
Pb (0.0000, 0.3373, 0.0000) x8

The 8 most intense peaks (15 to 90 degrees two-theta), by angle:
31.0 deg, I 100; 35.5 deg, I 35; 36.9 deg, I 16; 51.1 deg, I 13; 52.1 deg, I 24; 61.0 deg, I 30; 62.8 deg, I 14; 64.7 deg, I 13